The following is a simulated powder X-ray diffraction pattern of Ga8Pd2Pt. It was derived from a crystal structure in Alexandria, relaxed with GGA-PBE, using Cu Kα X-rays.
Peak positions follow from Bragg's law for the DFT cell and can differ from measured ones.

Main lines, low angle first (10 to 90 degrees two-theta):
2theta  intensity
36.82  83.3
37.19  100.0
37.30  96.0
43.94  85.2
44.14  84.9
45.46  90.6

Structural model:
```
11
Lattice="4.8354 0.0000 0.0000 -0.0648 5.1861 0.0000 -2.3177 -2.5828 7.2317" Properties=species:S:1:pos:R:3 pbc="T T T"
Ga 0.0000 0.0000 0.0000
Ga -2.2443 -0.0034 7.2213
Ga 0.0387 0.0042 5.1652
Ga 0.1127 2.5832 5.1884
Ga 1.2628 1.0420 2.5977
Ga 2.4309 3.8911 1.1798
Ga 2.5181 -1.2931 3.9951
Ga 3.6819 1.5723 2.5726
Pd 2.4536 1.2977 0.2296
Pd 2.4966 1.3023 4.9413
Pt 0.0290 3.8965 2.5856
```

=====

The following is a simulated powder X-ray diffraction pattern of ErNi2Ge4. It was derived from a crystal structure in Alexandria, relaxed with GGA-PBE, using Cu Kα X-rays.
Peak positions follow from Bragg's law for the DFT cell and can differ from measured ones.

Main lines, low angle first (10 to 90 degrees two-theta):
2theta  intensity
36.56  100.0
36.88  68.5
38.50  23.3
39.30  33.4
44.12  21.6
44.40  39.3

Structural model:
```
28
Lattice="17.1159 0.0000 0.0000 0.0000 4.0810 0.0000 0.0000 0.0000 6.5986" Properties=species:S:1:pos:R:3 pbc="T T T"
Er 2.4006 1.0202 0.0792
Er 6.1573 3.0607 3.3785
Er 10.9586 1.0202 3.2201
Er 14.7153 3.0607 6.5194
Ni 0.5862 3.0607 5.0073
Ni 3.6110 1.0202 3.1527
Ni 4.9469 3.0607 6.4521
Ni 7.9717 1.0202 1.7080
Ni 9.1442 3.0607 4.8906
Ni 12.1690 1.0202 0.1466
Ni 13.5049 3.0607 3.4459
Ni 16.5297 1.0202 1.5913
Ge 0.4953 3.0607 0.9189
Ge 1.1171 1.0202 3.4126
Ge 3.0417 3.0607 4.5864
Ge 3.4517 3.0607 1.8604
Ge 5.1063 1.0202 5.1597
Ge 5.5162 1.0202 1.2871
Ge 7.4409 3.0607 0.1132
Ge 8.0626 1.0202 4.2182
Ge 9.0533 3.0607 2.3804
Ge 9.6750 1.0202 6.4854
Ge 11.5997 3.0607 5.3115
Ge 12.0096 3.0607 1.4389
Ge 13.6642 1.0202 4.7382
Ge 14.0742 1.0202 2.0122
Ge 15.9988 3.0607 3.1861
Ge 16.6206 1.0202 5.6798
```

=====

The following is a simulated powder X-ray diffraction pattern of TiTcW2. It was derived from a crystal structure in Alexandria, relaxed with GGA-PBE, using Cu Kα X-rays.
Peak positions follow from Bragg's law for the DFT cell and can differ from measured ones.

Main lines, low angle first (10 to 90 degrees two-theta):
2theta  intensity
28.40  22.3
40.60  100.0
58.76  16.8
66.53  9.0
73.87  33.9
87.87  11.1

Structural model:
```
4
Lattice="0.0000 3.1426 3.1426 3.1426 0.0000 3.1426 3.1426 3.1426 0.0000" Properties=species:S:1:pos:R:3 pbc="T T T"
Ti 0.0000 0.0000 0.0000
Tc 3.1426 3.1426 3.1426
W 1.5713 1.5713 1.5713
W 4.7139 4.7139 4.7139
```

=====

The following is a simulated powder X-ray diffraction pattern of Ca2Ac3Tl6. It was derived from a crystal structure in Alexandria, relaxed with GGA-PBE, using Cu Kα X-rays.
Peak positions follow from Bragg's law for the DFT cell and can differ from measured ones.

Main lines, low angle first (10 to 90 degrees two-theta):
2theta  intensity
27.69  100.0
29.76  27.8
30.78  45.9
34.70  76.5
35.59  75.9
47.05  32.7

Structural model:
```
11
Lattice="-2.5225 2.5225 15.0108 2.5225 -2.5225 15.0108 2.5225 2.5225 -15.0108" Properties=species:S:1:pos:R:3 pbc="T T T"
Ca 0.0000 0.0000 1.6904
Ca 0.0000 0.0000 28.3312
Ac 0.0000 0.0000 9.0283
Ac 0.0000 0.0000 15.0108
Ac 0.0000 0.0000 20.9933
Tl 2.5225 0.0000 3.4662
Tl 0.0000 0.0000 5.6372
Tl 2.5225 0.0000 11.5446
Tl 0.0000 2.5225 3.4662
Tl 0.0000 0.0000 24.3844
Tl 0.0000 2.5225 11.5446
```

=====

The following is a simulated powder X-ray diffraction pattern of Y5TmPu. It was derived from a crystal structure in Alexandria, relaxed with GGA-PBE, using Cu Kα X-rays.
Peak positions follow from Bragg's law for the DFT cell and can differ from measured ones.

Main lines, low angle first (10 to 90 degrees two-theta):
2theta  intensity
15.35  48.8
15.46  100.0
19.90  33.9
20.75  62.2
30.99  56.3
31.21  55.5

Structural model:
```
7
Lattice="5.7348 -4.2814 0.0000 5.7348 4.2814 0.0000 -0.1988 0.0000 5.7709" Properties=species:S:1:pos:R:3 pbc="T T T"
Y 0.0000 0.0000 0.0000
Y 2.6593 0.0000 3.0052
Y 5.6354 1.6159 2.8855
Y 5.6354 -1.6159 2.8855
Y 8.6115 0.0000 2.7657
Tm 5.7348 0.0000 0.0000
Pu -0.0994 0.0000 2.8855
```

=====

The following is a simulated powder X-ray diffraction pattern of Te8Pd3Au3. It was derived from a crystal structure in Alexandria, relaxed with GGA-PBE, using Cu Kα X-rays.
Peak positions follow from Bragg's law for the DFT cell and can differ from measured ones.

Main lines, low angle first (10 to 90 degrees two-theta):
2theta  intensity
21.73  35.4
25.53  68.8
30.91  46.9
40.51  53.2
44.28  100.0
81.48  19.9

Structural model:
```
14
Lattice="4.0893 2.3610 6.6878 -4.0893 2.3610 6.6878 0.0000 -4.7220 6.6878" Properties=species:S:1:pos:R:3 pbc="T T T"
Te -2.2254 -1.2848 11.5474
Te 0.0000 0.0000 4.7489
Te 0.0000 -2.5697 8.5159
Te -2.2254 1.2848 8.5159
Te 2.2254 -1.2848 11.5473
Te 0.0000 2.5697 11.5473
Te 0.0000 0.0000 15.3144
Te 2.2254 1.2848 8.5159
Pd -4.0893 0.0000 10.0316
Pd -2.0447 1.1805 3.3439
Pd 2.0447 1.1805 3.3439
Au 0.0000 0.0000 0.0000
Au 0.0000 0.0000 7.5081
Au 0.0000 0.0000 12.5552
```

=====

The following is a simulated powder X-ray diffraction pattern of Rb2CaHf3O8. It was derived from a crystal structure in Alexandria, relaxed with GGA-PBE, using Cu Kα X-rays.
Peak positions follow from Bragg's law for the DFT cell and can differ from measured ones.

Main lines, low angle first (10 to 90 degrees two-theta):
2theta  intensity
12.93  100.0
26.03  37.9
30.20  31.9
31.79  39.6
32.70  37.3
36.13  48.5

Structural model:
```
14
Lattice="3.2812 1.8944 6.8475 -3.2812 1.8944 6.8475 0.0000 -3.7887 6.8475" Properties=species:S:1:pos:R:3 pbc="T T T"
Rb 0.0000 0.0000 0.0000
Rb 0.0000 0.0000 7.2424
Ca 0.0000 0.0000 17.1428
Hf 0.0000 -1.8797 10.6592
Hf -1.6279 0.9399 10.6592
Hf 1.6279 0.9399 10.6592
O 0.0000 -1.7850 4.7992
O -1.5458 0.8925 4.7992
O 0.0000 0.0000 2.7519
O -1.4517 -0.8382 9.5653
O 1.5458 0.8925 4.7992
O 0.0000 0.0000 11.7187
O 1.4517 -0.8382 9.5653
O 0.0000 1.6763 9.5653
```

=====

The following is a simulated powder X-ray diffraction pattern of K6TlHg23. It was derived from a crystal structure in Alexandria, relaxed with GGA-PBE, using Cu Kα X-rays.
Peak positions follow from Bragg's law for the DFT cell and can differ from measured ones.

Main lines, low angle first (10 to 90 degrees two-theta):
2theta  intensity
19.97  19.6
30.16  10.3
32.90  100.0
38.79  17.3
47.22  12.6
58.75  25.1

Structural model:
```
30
Lattice="0.0000 7.6992 7.6992 7.6992 0.0000 7.6992 7.6992 7.6992 0.0000" Properties=species:S:1:pos:R:3 pbc="T T T"
K 7.6992 7.6992 3.5524
K 7.6992 3.5524 7.6992
K 11.8460 7.6992 7.6992
K 3.5524 7.6992 7.6992
K 7.6992 11.8460 7.6992
K 7.6992 7.6992 11.8460
Tl 7.6992 7.6992 7.6992
Hg 0.0000 0.0000 0.0000
Hg 3.8496 3.8496 0.0000
Hg 3.8496 0.0000 3.8496
Hg 7.6992 3.8496 3.8496
Hg 9.6424 5.7560 5.7560
Hg 2.3776 2.3776 2.3776
Hg 5.3216 5.3216 2.3776
Hg 5.3216 2.3776 5.3216
Hg 5.7560 5.7560 5.7560
Hg 9.6424 9.6424 5.7560
Hg 9.6424 5.7560 9.6424
Hg 13.0208 10.0768 10.0768
Hg 0.0000 3.8496 3.8496
Hg 3.8496 7.6992 3.8496
Hg 3.8496 3.8496 7.6992
Hg 2.3776 5.3216 5.3216
Hg 5.7560 9.6424 5.7560
Hg 5.7560 5.7560 9.6424
Hg 9.6424 9.6424 9.6424
Hg 10.0768 13.0208 10.0768
Hg 10.0768 10.0768 13.0208
Hg 13.0208 13.0208 13.0208
Hg 5.7560 9.6424 9.6424
```

=====

The following is a simulated powder X-ray diffraction pattern of MgAu. It was derived from a crystal structure in Alexandria, relaxed with GGA-PBE, using Cu Kα X-rays.
Peak positions follow from Bragg's law for the DFT cell and can differ from measured ones.

Main lines, low angle first (10 to 90 degrees two-theta):
2theta  intensity
23.52  38.0
26.68  100.0
37.84  81.7
38.33  96.9
54.95  22.5
77.97  19.1

Structural model:
```
24
Lattice="9.4966 0.0000 0.0000 0.0000 8.2456 0.0000 0.0000 0.0000 5.7183" Properties=species:S:1:pos:R:3 pbc="T T T"
Mg 1.1391 0.3963 1.4296
Mg 1.1391 3.7265 4.2887
Mg 3.2074 5.1335 1.4296
Mg 3.2074 7.2349 4.2887
Mg 3.6056 2.0614 0.0000
Mg 3.6056 2.0614 2.8591
Mg 5.8910 6.1842 0.0000
Mg 5.8910 6.1842 2.8591
Mg 6.2891 1.0107 1.4296
Mg 6.2891 3.1121 4.2887
Mg 8.3575 4.5191 1.4296
Mg 8.3575 7.8494 4.2887
Au 0.9661 6.1842 0.0000
Au 0.9661 6.1842 2.8591
Au 1.3982 0.9706 4.2887
Au 1.3982 3.1522 1.4296
Au 3.9129 4.5492 4.2887
Au 3.9129 7.8192 1.4296
Au 5.5836 0.4264 4.2887
Au 5.5836 3.6964 1.4296
Au 8.0983 5.0934 4.2887
Au 8.0983 7.2750 1.4296
Au 8.5304 2.0614 0.0000
Au 8.5304 2.0614 2.8591
```

=====

The following is a simulated powder X-ray diffraction pattern of LiMg5Al2. It was derived from a crystal structure in Alexandria, relaxed with GGA-PBE, using Cu Kα X-rays.
Peak positions follow from Bragg's law for the DFT cell and can differ from measured ones.

Main lines, low angle first (10 to 90 degrees two-theta):
2theta  intensity
33.11  74.9
33.73  48.9
35.47  60.7
38.22  100.0
39.97  51.9
68.30  30.9

Structural model:
```
16
Lattice="2.2554 -5.0678 0.0000 2.2554 5.0678 0.0000 0.0000 0.0000 14.3522" Properties=species:S:1:pos:R:3 pbc="T T T"
Li 2.2554 2.8169 10.7641
Li 2.2554 -2.8169 3.5880
Mg 2.2554 4.5157 8.6108
Mg 2.2554 4.5157 12.9175
Mg 2.2554 1.4799 7.7755
Mg 2.2554 1.4799 13.7528
Mg 2.2554 0.0487 10.7641
Mg 2.2554 -0.0487 3.5880
Mg 2.2554 -1.4799 0.5994
Mg 2.2554 -1.4799 6.5767
Mg 2.2554 -4.5157 1.4347
Mg 2.2554 -4.5157 5.7414
Al 2.2554 2.6756 2.1878
Al 2.2554 2.6756 4.9883
Al 2.2554 -2.6756 9.3639
Al 2.2554 -2.6756 12.1644
```

=====

The following is a simulated powder X-ray diffraction pattern of Ba2MgHg10. It was derived from a crystal structure in Alexandria, relaxed with GGA-PBE, using Cu Kα X-rays.
Peak positions follow from Bragg's law for the DFT cell and can differ from measured ones.

Main lines, low angle first (10 to 90 degrees two-theta):
2theta  intensity
14.63  100.0
31.39  92.0
33.24  59.8
34.48  75.8
36.17  51.3
36.70  50.1

Structural model:
```
26
Lattice="11.0029 0.0000 0.0000 0.0000 13.4987 0.0000 0.0000 0.0000 6.0556" Properties=species:S:1:pos:R:3 pbc="T T T"
Ba 1.5635 2.1559 0.0000
Ba 3.9379 8.9053 0.0000
Ba 7.0650 4.5934 0.0000
Ba 9.4394 11.3428 0.0000
Mg 0.0000 6.7494 3.0278
Mg 5.5015 0.0000 3.0278
Hg 0.2892 11.9432 3.0278
Hg 0.7487 9.1329 1.4850
Hg 0.7487 9.1329 4.5706
Hg 2.2085 4.1958 3.0278
Hg 2.6112 0.4181 3.0278
Hg 2.8903 7.1675 3.0278
Hg 3.2930 10.9452 3.0278
Hg 4.7527 2.3835 1.4850
Hg 4.7527 2.3835 4.5706
Hg 5.2123 5.1938 3.0278
Hg 5.7906 8.3049 3.0278
Hg 6.2502 11.1152 1.4850
Hg 6.2502 11.1152 4.5706
Hg 7.7099 2.5535 3.0278
Hg 8.1126 6.3313 3.0278
Hg 8.3917 13.0806 3.0278
Hg 8.7945 9.3029 3.0278
Hg 10.2542 4.3659 1.4850
Hg 10.2542 4.3659 4.5706
Hg 10.7138 1.5556 3.0278
```

=====

The following is a simulated powder X-ray diffraction pattern of CsPu2CrBr8. It was derived from a crystal structure in Alexandria, relaxed with GGA-PBE, using Cu Kα X-rays.
Peak positions follow from Bragg's law for the DFT cell and can differ from measured ones.

Main lines, low angle first (10 to 90 degrees two-theta):
2theta  intensity
16.47  100.0
19.06  59.4
23.15  52.8
25.48  56.6
33.22  91.1
35.99  45.9

Structural model:
```
12
Lattice="7.0665 0.0000 0.0000 0.0000 9.1945 0.0000 -1.0316 0.0000 7.0942" Properties=species:S:1:pos:R:3 pbc="T T T"
Cs 0.0000 0.0000 0.0000
Pu 3.0174 2.4235 3.5471
Pu 3.0174 6.7711 3.5471
Cr 0.0000 4.5973 0.0000
Br 1.5761 2.8191 1.0340
Br 1.5761 6.3754 1.0340
Br 1.2907 4.5973 4.5207
Br 1.4198 0.0000 4.3547
Br 4.6151 0.0000 2.7395
Br 4.7442 4.5973 2.5735
Br 4.4588 2.8191 6.0602
Br 4.4588 6.3754 6.0602
```

=====

Repeat the fifth record exactly.
The following is a simulated powder X-ray diffraction pattern of Y5TmPu. It was derived from a crystal structure in Alexandria, relaxed with GGA-PBE, using Cu Kα X-rays.
Peak positions follow from Bragg's law for the DFT cell and can differ from measured ones.

Main lines, low angle first (10 to 90 degrees two-theta):
2theta  intensity
15.35  48.8
15.46  100.0
19.90  33.9
20.75  62.2
30.99  56.3
31.21  55.5

Structural model:
```
7
Lattice="5.7348 -4.2814 0.0000 5.7348 4.2814 0.0000 -0.1988 0.0000 5.7709" Properties=species:S:1:pos:R:3 pbc="T T T"
Y 0.0000 0.0000 0.0000
Y 2.6593 0.0000 3.0052
Y 5.6354 1.6159 2.8855
Y 5.6354 -1.6159 2.8855
Y 8.6115 0.0000 2.7657
Tm 5.7348 0.0000 0.0000
Pu -0.0994 0.0000 2.8855
```

=====

What did the second record say?
The following is a simulated powder X-ray diffraction pattern of ErNi2Ge4. It was derived from a crystal structure in Alexandria, relaxed with GGA-PBE, using Cu Kα X-rays.
Peak positions follow from Bragg's law for the DFT cell and can differ from measured ones.

Main lines, low angle first (10 to 90 degrees two-theta):
2theta  intensity
36.56  100.0
36.88  68.5
38.50  23.3
39.30  33.4
44.12  21.6
44.40  39.3

Structural model:
```
28
Lattice="17.1159 0.0000 0.0000 0.0000 4.0810 0.0000 0.0000 0.0000 6.5986" Properties=species:S:1:pos:R:3 pbc="T T T"
Er 2.4006 1.0202 0.0792
Er 6.1573 3.0607 3.3785
Er 10.9586 1.0202 3.2201
Er 14.7153 3.0607 6.5194
Ni 0.5862 3.0607 5.0073
Ni 3.6110 1.0202 3.1527
Ni 4.9469 3.0607 6.4521
Ni 7.9717 1.0202 1.7080
Ni 9.1442 3.0607 4.8906
Ni 12.1690 1.0202 0.1466
Ni 13.5049 3.0607 3.4459
Ni 16.5297 1.0202 1.5913
Ge 0.4953 3.0607 0.9189
Ge 1.1171 1.0202 3.4126
Ge 3.0417 3.0607 4.5864
Ge 3.4517 3.0607 1.8604
Ge 5.1063 1.0202 5.1597
Ge 5.5162 1.0202 1.2871
Ge 7.4409 3.0607 0.1132
Ge 8.0626 1.0202 4.2182
Ge 9.0533 3.0607 2.3804
Ge 9.6750 1.0202 6.4854
Ge 11.5997 3.0607 5.3115
Ge 12.0096 3.0607 1.4389
Ge 13.6642 1.0202 4.7382
Ge 14.0742 1.0202 2.0122
Ge 15.9988 3.0607 3.1861
Ge 16.6206 1.0202 5.6798
```